# 1
Simulated powder X-ray diffraction pattern
Compound: GeHPt2
Radiation: Cu Kα (λ = 1.5418 Å)
Structure: a structure optimized by DFT (GGA-PBE)

Peak list (12 most intense, 2θ from 10° to 90°, sorted by position)
| index | 2theta | d [Å] | I/Imax |
| --- | --- | --- | --- |
| 0 1 1 | 25.84 | 3.448 | 91 |
| 1 0 0 | 31.16 | 2.870 | 71 |
| 0 2 -2 | 32.06 | 2.792 | 82 |
| 1 1 0 | 35.11 | 2.556 | 21 |
| -1 1 1 | 40.37 | 2.234 | 74 |
| 0 1 -3 | 41.30 | 2.186 | 54 |
| 1 1 1 | 41.45 | 2.179 | 58 |
| 0 3 -1 | 41.96 | 2.153 | 62 |
| 1 -2 2 | 45.31 | 2.001 | 100 |
| 1 1 -3 | 52.16 | 1.754 | 27 |
| 0 2 2 | 53.12 | 1.724 | 31 |
| 0 4 -4 | 67.05 | 1.396 | 19 |

Cell: 2.8712 6.5188 6.6082 Å, 116.60 90.86 90.69°
Space group P1 (No. 1)
Inequivalent atoms, fractional coordinates:
Ge  0.0000  0.0000  0.0000 [1 per cell]
Ge  0.0254  0.5648  0.4158 [1 per cell]
H  0.4891  0.6381  0.0663 [1 per cell]
H  0.9821  0.0811  0.4998 [1 per cell]
Pt  0.4912  0.6330  0.8050 [1 per cell]
Pt  0.4935  0.3626  0.0441 [1 per cell]
Pt  0.5211  0.1988  0.3806 [1 per cell]
Pt  0.5635  0.9362  0.6094 [1 per cell]

# 2
Simulated powder X-ray diffraction pattern
Compound: Pu4As6Pd5
Radiation: Cu Kα (λ = 1.5418 Å)
Structure: a structure optimized by DFT (GGA-PBE)

Peak list (12 most intense, 2θ from 10° to 90°, sorted by position)
| index | 2theta | d [Å] | I/Imax |
| --- | --- | --- | --- |
| 1 1 0 | 21.77 | 4.082 | 21 |
| 0 6 0 | 27.68 | 3.223 | 21 |
| 1 1 3 | 28.30 | 3.153 | 44 |
| 0 4 4 | 30.28 | 2.952 | 21 |
| 1 5 0 | 31.53 | 2.837 | 36 |
| 1 5 1 | 32.11 | 2.787 | 45 |
| 1 1 4 | 32.54 | 2.752 | 42 |
| 1 5 2 | 33.80 | 2.652 | 28 |
| 1 3 4 | 35.16 | 2.553 | 36 |
| 0 0 6 | 36.17 | 2.483 | 28 |
| 1 5 3 | 36.47 | 2.464 | 100 |
| 2 0 0 | 43.32 | 2.089 | 73 |

Cell: 4.1762 19.3356 14.9004 Å, 90.00 90.00 90.00°
Space group Cmc2_1 (No. 36)
Inequivalent atoms, fractional coordinates:
Pu  0.0000  0.0118  0.0000 [4 per cell]
Pu  0.0000  0.0329  0.2727 [4 per cell]
Pu  0.0000  0.1639  0.8011 [4 per cell]
Pu  0.0000  0.1812  0.4413 [4 per cell]
As  0.0000  0.1154  0.6152 [4 per cell]
As  0.0000  0.2224  0.9845 [4 per cell]
As  0.0000  0.2356  0.2612 [4 per cell]
As  0.0000  0.4203  0.9077 [4 per cell]
As  0.0000  0.4270  0.6287 [4 per cell]
As  0.0000  0.4365  0.3528 [4 per cell]
Pd  0.0000  0.1524  0.1281 [4 per cell]
Pd  0.0000  0.3037  0.1178 [4 per cell]
Pd  0.0000  0.3423  0.7687 [4 per cell]
Pd  0.0000  0.3542  0.4832 [4 per cell]
Pd  0.0000  0.4457  0.1732 [4 per cell]